Simulated X-ray powder pattern of Cr4BiF12 for copper Kα, from a DFT-relaxed cell (GGA+U, Alexandria).

Largest 10 diffraction maxima, by intensity, 2θ from 10° to 90°:
| h k l | 2theta | intensity |
| --- | --- | --- |
| 1 1 0 | 15.7 | 100 |
| 0 0 1 | 15.1 | 61 |
| 2 2 -2 | 31.7 | 48 |
| 4 0 0 | 43.5 | 29 |
| 3 3 -1 | 42.8 | 27 |
| 3 1 -3 | 34.4 | 24 |
| 1 1 -2 | 26.6 | 24 |
| 3 1 -1 | 26.7 | 23 |
| 2 2 -1 | 27.7 | 21 |
| 2 2 -4 | 54.7 | 12 |

Crystal structure
```
data_Cr4BiF12
_cell_length_a 11.7243
_cell_length_b 7.7053
_cell_length_c 8.3087
_cell_angle_alpha 90.00
_cell_angle_beta 134.76
_cell_angle_gamma 90.00
_symmetry_space_group_name_H-M 'C 1 2/m 1'
_symmetry_Int_Tables_number 12
loop_
_symmetry_equiv_pos_as_xyz
'x,y,z'
'-x,-y,-z'
'-x,y,-z'
'x,-y,z'
'x+1/2,y+1/2,z'
'-x+1/2,-y+1/2,-z'
'-x+1/2,y+1/2,-z'
'x+1/2,-y+1/2,z'
loop_
_atom_site_label
_atom_site_type_symbol
_atom_site_fract_x
_atom_site_fract_y
_atom_site_fract_z
_atom_site_occupancy
Cr1 Cr 0.2500 0.2500 0.0000 1
Cr2 Cr 0.2500 0.2500 0.5000 1
Bi1 Bi 0.0000 0.0000 0.0000 1
F1 F 0.0023 0.1897 0.7732 1
F2 F 0.2104 0.5000 0.9986 1
F3 F 0.2131 0.5000 0.4231 1
F4 F 0.2294 0.1891 0.2301 1
```